No. 1
Mn4CdO5: simulated powder diffraction line list (Cu Kα (λ = 1.5418 Å)), based on a DFT-relaxed cell (PBE+U, Alexandria).
Peak positions follow from Bragg's law for the DFT cell and can differ from measured ones.

The 10 most intense peaks (2θ = 10–90°), most intense first:
d (Å)  I (rel.)
2.289  100
2.643  76
1.618  60
1.381  20
1.321  18
1.379  10
3.207  7
2.980  6
5.714  6
1.145  6

Cell and atoms:
```
10
Lattice="-1.619 1.619 11.429 1.619 -1.619 11.429 1.619 1.619 -11.429" Properties=species:S:1:pos:R:3 pbc="T T T"
Mn 0.000 0.000 2.350
Mn 0.000 0.000 6.824
Mn 0.000 0.000 16.033
Mn 0.000 0.000 20.508
Cd 0.000 0.000 11.429
O 0.000 0.000 0.000
O 0.000 0.000 4.595
O 0.000 0.000 9.029
O 0.000 0.000 13.829
O 0.000 0.000 18.262
```

---

No. 2
MnCd3O6: simulated powder diffraction line list (Cu Kα (λ = 1.5418 Å)), based on a DFT-relaxed cell (PBE+U, Alexandria).
Peak positions follow from Bragg's law for the DFT cell and can differ from measured ones.

The 10 most intense peaks (2θ = 10–90°), most intense first:
d (Å)  I (rel.)
2.821  100
2.671  72
2.430  40
1.940  36
1.598  34
4.784  32
1.629  29
3.419  15
1.516  14
1.207  14

Cell and atoms:
```
20
Lattice="5.643 0.000 0.000 -2.821 4.887 0.000 0.000 0.000 9.569" Properties=species:S:1:pos:R:3 pbc="T T T"
Mn 0.000 3.258 2.392
Mn 2.821 1.629 7.177
Cd 0.000 0.000 0.000
Cd 0.000 0.000 4.784
Cd 0.000 3.258 5.505
Cd 0.000 3.258 8.848
Cd 2.821 1.629 0.720
Cd 2.821 1.629 4.064
O -0.669 1.852 1.276
O -1.553 3.381 3.509
O 0.669 1.852 3.509
O -0.883 4.541 1.276
O 1.938 0.346 8.293
O 1.269 1.506 6.060
O 1.553 3.381 1.276
O 0.883 4.541 3.509
O 3.705 0.346 6.060
O 2.152 3.035 8.293
O 4.374 1.506 8.293
O 3.491 3.035 6.060
```

---

No. 3
MnCd2SnO4: simulated powder diffraction line list (Cu Kα (λ = 1.5418 Å)), based on a DFT-relaxed cell (PBE+U, Alexandria).
Peak positions follow from Bragg's law for the DFT cell and can differ from measured ones.

The 10 most intense peaks (2θ = 10–90°), most intense first:
d (Å)  I (rel.)
2.994  100
2.906  96
1.797  56
2.579  47
1.570  29
1.532  26
2.505  21
1.867  18
1.175  15
1.783  14

Cell and atoms:
```
8
Lattice="0.000 3.733 5.011 3.567 0.000 5.011 3.567 3.733 0.000" Properties=species:S:1:pos:R:3 pbc="T T T"
Mn 0.000 0.000 0.000
Cd 1.783 1.866 2.536
Cd 5.350 5.599 7.546
Sn 3.567 3.733 5.136
O 5.350 3.733 3.843
O 3.567 1.718 6.185
O 1.783 3.733 3.843
O 3.567 5.748 6.185
```

---

No. 4
MnCdSnO4: simulated powder diffraction line list (Cu Kα (λ = 1.5418 Å)), based on a DFT-relaxed cell (PBE+U, Alexandria).
Peak positions follow from Bragg's law for the DFT cell and can differ from measured ones.

The 10 most intense peaks (2θ = 10–90°), most intense first:
d (Å)  I (rel.)
2.772  100
2.791  79
1.629  73
3.259  58
2.750  52
3.210  33
1.756  32
5.282  25
1.786  23
2.667  23

Cell and atoms:
```
14
Lattice="-3.210 3.257 4.646 3.210 -3.257 4.646 3.210 3.257 -4.646" Properties=species:S:1:pos:R:3 pbc="T T T"
Mn -1.605 1.628 2.323
Mn 1.605 1.628 2.323
Cd 3.210 1.628 -1.310
Cd 0.000 1.628 5.956
Sn 0.000 0.000 0.000
Sn 0.000 3.257 0.000
O 0.000 0.165 2.062
O 1.405 1.628 0.041
O 1.805 -1.628 4.687
O 3.210 0.165 2.584
O 0.000 3.092 2.062
O 1.405 4.885 -0.041
O 1.805 1.628 4.605
O 3.210 3.092 2.584
```